(1)
Structure and calculated powder X-ray diffraction pattern of BH (a structure optimized by DFT (GGA-PBE); Cu Ka).
Neutral-atom scattering factors, no anomalous dispersion.

Crystal structure
Cell: 7.119 7.119 10.829 Å, 90.27 90.27 117.92°
Atoms (fractional coordinates):
B  0.011  0.122  0.182
B  0.039  0.391  0.185
B  0.059  0.263  0.324
B  0.087  0.591  0.676
B  0.122  0.011  0.682
B  0.167  0.816  0.906
B  0.184  0.833  0.594
B  0.225  0.637  0.817
B  0.263  0.059  0.824
B  0.363  0.775  0.683
B  0.391  0.039  0.685
B  0.409  0.913  0.824
B  0.591  0.087  0.176
B  0.609  0.961  0.315
B  0.637  0.225  0.317
B  0.737  0.941  0.176
B  0.775  0.363  0.183
B  0.816  0.167  0.406
B  0.833  0.184  0.094
B  0.878  0.989  0.318
B  0.913  0.409  0.324
B  0.941  0.737  0.676
B  0.961  0.609  0.815
B  0.989  0.878  0.818
H  0.032  0.431  0.614
H  0.095  0.145  0.630
H  0.145  0.095  0.130
H  0.156  0.809  0.017
H  0.188  0.535  0.139
H  0.191  0.844  0.483
H  0.232  0.334  0.375
H  0.261  0.506  0.868
H  0.334  0.232  0.875
H  0.431  0.032  0.114
H  0.465  0.812  0.361
H  0.494  0.739  0.632
H  0.506  0.261  0.368
H  0.535  0.188  0.639
H  0.569  0.968  0.886
H  0.666  0.768  0.125
H  0.739  0.494  0.132
H  0.768  0.666  0.625
H  0.809  0.156  0.517
H  0.812  0.465  0.861
H  0.844  0.191  0.983
H  0.855  0.905  0.870
H  0.905  0.855  0.370
H  0.968  0.569  0.386

Peak list (10 most intense, 2θ = 5–70°, low angle first)
| two_theta | d_spacing | I (rel.) |
| --- | --- | --- |
| 14.08 | 6.291 | 42 |
| 14.52 | 6.100 | 30 |
| 16.24 | 5.458 | 67 |
| 16.36 | 5.418 | 100 |
| 16.68 | 5.315 | 44 |
| 30.00 | 2.979 | 3 |
| 33.07 | 2.709 | 5 |
| 38.10 | 2.362 | 2 |
| 42.41 | 2.131 | 3 |
| 46.56 | 1.951 | 5 |



(2)
Structure and calculated powder X-ray diffraction pattern of HoBH4 (a structure optimized by DFT (GGA-PBE); Cu Ka).
Neutral-atom scattering factors, no anomalous dispersion.

Crystal structure
Cell: 6.800 6.800 4.103 Å, 107.53 107.53 49.33°
Atoms (fractional coordinates):
Ho  0.000  0.000  0.000
Ho  0.361  0.312  0.349
Ho  0.688  0.639  0.651
B  0.186  0.147  0.671
B  0.518  0.482  0.000
B  0.853  0.814  0.329
H  0.162  0.356  0.764
H  0.313  0.011  0.915
H  0.314  0.013  0.418
H  0.379  0.617  0.749
H  0.383  0.621  0.251
H  0.556  0.260  0.907
H  0.644  0.838  0.236
H  0.740  0.444  0.093
H  0.803  0.038  0.414
H  0.962  0.197  0.586
H  0.987  0.686  0.582
H  0.989  0.687  0.085

Peak list (10 most intense, 2θ = 5–70°, low angle first)
| two_theta | d_spacing | I (rel.) |
| --- | --- | --- |
| 26.81 | 3.325 | 100 |
| 27.82 | 3.207 | 92 |
| 31.53 | 2.838 | 42 |
| 31.71 | 2.822 | 83 |
| 44.15 | 2.051 | 17 |
| 45.32 | 2.001 | 61 |
| 52.99 | 1.728 | 33 |
| 53.32 | 1.718 | 16 |
| 54.71 | 1.678 | 30 |
| 55.25 | 1.663 | 17 |